No. 1
TaCr3Ag2S8: calculated powder diffraction line list (λ = 1.5418 Å (Cu Kα)), based on a structure optimized by DFT (PBE).
Kinematic intensities with the Lorentz-polarization factor, no thermal factor.

Structure:
abc: 7.2362 7.3365 10.2954
angles: 90.00 90.00 90.00
Space group P222_1 (No. 17)
One atom of each set of equivalent atoms:
Ta  0.0000  0.2089  0.2500
Cr  0.2349  0.0000  0.0000
Cr  0.2411  0.5000  0.0000
Cr  0.5000  0.2407  0.2500
Ag  0.2745  0.2821  0.6186
S  0.0136  0.2514  0.0136
S  0.2484  0.4568  0.2353
S  0.2575  0.0010  0.2377
S  0.4528  0.2455  0.0175

Most intense lines, 2θ from 5° to 70°, by intensity:
d = 3.096 Å, 2θ = 28.84°, I = 100, (2 1 1)
d = 3.113 Å, 2θ = 28.68°, I = 87, (0 1 3)
d = 1.821 Å, 2θ = 50.10°, I = 68, (2 2 4)
d = 3.641 Å, 2θ = 24.44°, I = 50, (1 1 2)
d = 2.575 Å, 2θ = 34.84°, I = 37, (0 0 4)
d = 4.607 Å, 2θ = 19.27°, I = 33, (1 1 1)
d = 1.989 Å, 2θ = 45.62°, I = 28, (2 3 1)
d = 1.982 Å, 2θ = 45.79°, I = 27, (0 1 5)
d = 3.668 Å, 2θ = 24.26°, I = 24, (0 2 0)
d = 2.096 Å, 2θ = 43.17°, I = 19, (2 0 4)

=====

No. 2
TiCrAgS4: calculated powder diffraction line list (λ = 1.5418 Å (Cu Kα)), based on a structure optimized by DFT (PBE).
Kinematic intensities with the Lorentz-polarization factor, no thermal factor.

Structure:
abc: 6.1402 7.0362 12.0731
angles: 90.31 90.34 91.15
Space group P-1 (No. 2)
One atom of each set of equivalent atoms:
Ti  0.0000  0.0000  0.0000
Ti  0.0334  0.2284  0.7471
Ti  0.5000  0.5000  0.5000
Cr  0.0000  0.5000  0.0000
Cr  0.4754  0.2647  0.2447
Cr  0.5000  0.0000  0.5000
Ag  0.0734  0.2640  0.4126
Ag  0.4189  0.2455  0.9055
S  0.1924  0.7518  0.0861
S  0.2122  0.5121  0.8251
S  0.2189  0.9684  0.8256
S  0.2308  0.2567  0.0886
S  0.2727  0.2389  0.5928
S  0.2829  0.9949  0.3276
S  0.2865  0.5253  0.3277
S  0.3153  0.7498  0.5892

Most intense lines, 2θ from 5° to 70°, by intensity:
d = 3.049 Å, 2θ = 29.29°, I = 100, (-1 1 3)
d = 4.590 Å, 2θ = 19.34°, I = 84, (0 1 -2)
d = 2.983 Å, 2θ = 29.95°, I = 73, (-1 2 1)
d = 4.569 Å, 2θ = 19.43°, I = 54, (0 1 2)
d = 1.759 Å, 2θ = 52.00°, I = 49, (0 4 0)
d = 1.751 Å, 2θ = 52.25°, I = 49, (0 2 -6)
d = 1.742 Å, 2θ = 52.52°, I = 48, (0 2 6)
d = 3.035 Å, 2θ = 29.43°, I = 47, (1 1 -3)
d = 3.517 Å, 2θ = 25.32°, I = 45, (0 2 0)
d = 3.011 Å, 2θ = 29.66°, I = 44, (1 1 3)

=====

No. 3
TiCrAgS4: calculated powder diffraction line list (λ = 1.5418 Å (Cu Kα)), based on a structure optimized by DFT (PBE).
Kinematic intensities with the Lorentz-polarization factor, no thermal factor.

Structure:
abc: 14.0313 3.4821 5.9589
angles: 90.00 114.08 90.00
Space group Cm (No. 8)
One atom of each set of equivalent atoms:
Ti  0.0000  0.0000  0.0000
Cr  0.4971  0.0000  0.4495
Ag  0.2497  0.5000  0.7234
S  0.0982  0.0000  0.7225
S  0.1137  0.5000  0.2428
S  0.3850  0.5000  0.1977
S  0.3979  0.0000  0.6972

Most intense lines, 2θ from 5° to 70°, by intensity:
d = 2.202 Å, 2θ = 40.99°, I = 100, (3 1 1)
d = 5.365 Å, 2θ = 16.52°, I = 59, (2 0 -1)
d = 2.182 Å, 2θ = 41.38°, I = 41, (5 1 -1)
d = 3.006 Å, 2θ = 29.72°, I = 40, (1 1 -1)
d = 5.440 Å, 2θ = 16.29°, I = 40, (0 0 1)
d = 1.725 Å, 2θ = 53.09°, I = 39, (3 1 -3)
d = 3.360 Å, 2θ = 26.53°, I = 36, (1 1 0)
d = 2.162 Å, 2θ = 41.79°, I = 36, (6 0 -2)
d = 2.712 Å, 2θ = 33.03°, I = 28, (3 1 -1)
d = 2.979 Å, 2θ = 30.00°, I = 23, (2 0 -2)

=====

No. 4
TiCrAgS4: calculated powder diffraction line list (λ = 1.5418 Å (Cu Kα)), based on a structure optimized by DFT (PBE).
Kinematic intensities with the Lorentz-polarization factor, no thermal factor.

Structure:
abc: 11.9131 7.1501 6.1378
angles: 90.00 90.00 90.00
Space group Pnma (No. 62)
One atom of each set of equivalent atoms:
Ti  0.2472  0.2500  0.0379
Cr  0.0000  0.0000  0.5000
Ag  0.1010  0.7500  0.9254
S  0.0836  0.7500  0.3143
S  0.0885  0.2500  0.2754
S  0.1738  0.0192  0.7144

Most intense lines, 2θ from 5° to 70°, by intensity:
d = 3.022 Å, 2θ = 29.56°, I = 100, (3 1 1)
d = 2.990 Å, 2θ = 29.88°, I = 88, (1 2 1)
d = 4.577 Å, 2θ = 19.40°, I = 76, (2 1 0)
d = 2.745 Å, 2θ = 32.62°, I = 61, (1 1 2)
d = 1.736 Å, 2θ = 52.74°, I = 50, (6 2 0)
d = 2.169 Å, 2θ = 41.64°, I = 38, (2 2 2)
d = 2.221 Å, 2θ = 40.61°, I = 33, (5 0 1)
d = 2.428 Å, 2θ = 37.02°, I = 32, (3 0 2)
d = 2.009 Å, 2θ = 45.14°, I = 32, (3 2 2)
d = 1.702 Å, 2θ = 53.88°, I = 32, (2 2 3)

=====

No. 5
TiCrAgS4: calculated powder diffraction line list (λ = 1.5418 Å (Cu Kα)), based on a structure optimized by DFT (PBE).
Kinematic intensities with the Lorentz-polarization factor, no thermal factor.

Structure:
abc: 11.9875 3.4819 12.1045
angles: 90.00 90.00 90.00
Space group Pnma (No. 62)
One atom of each set of equivalent atoms:
Ti  0.1568  0.2500  0.2121
Cr  0.1041  0.2500  0.5761
Ag  0.1290  0.7500  0.9098
S  0.0358  0.2500  0.3827
S  0.0573  0.7500  0.1187
S  0.2013  0.2500  0.7531
S  0.2293  0.7500  0.5370

Most intense lines, 2θ from 5° to 70°, by intensity:
d = 2.565 Å, 2θ = 34.98°, I = 100, (3 1 1)
d = 3.347 Å, 2θ = 26.63°, I = 94, (2 0 3)
d = 2.409 Å, 2θ = 37.33°, I = 73, (3 1 2)
d = 2.698 Å, 2θ = 33.20°, I = 52, (2 0 4)
d = 1.961 Å, 2θ = 46.30°, I = 43, (1 1 5)
d = 3.223 Å, 2θ = 27.68°, I = 31, (1 1 1)
d = 1.741 Å, 2θ = 52.57°, I = 29, (0 2 0)
d = 1.790 Å, 2θ = 51.01°, I = 27, (6 0 3)
d = 1.878 Å, 2θ = 48.47°, I = 27, (5 0 4)
d = 2.127 Å, 2θ = 42.50°, I = 22, (4 1 2)

=====

No. 6
TiCrAgS4: calculated powder diffraction line list (λ = 1.5418 Å (Cu Kα)), based on a structure optimized by DFT (PBE).
Kinematic intensities with the Lorentz-polarization factor, no thermal factor.

Structure:
abc: 5.9687 9.5017 11.5286
angles: 90.00 90.00 90.00
Space group Pnma (No. 62)
One atom of each set of equivalent atoms:
Ti  0.1316  0.2500  0.0346
Cr  0.0020  0.2500  0.2684
Ag  0.1801  0.2500  0.6374
S  0.2398  0.7500  0.9227
S  0.2412  0.0792  0.1665
S  0.2480  0.7500  0.3529

Most intense lines, 2θ from 5° to 70°, by intensity:
d = 4.751 Å, 2θ = 18.68°, I = 100, (0 2 0)
d = 4.146 Å, 2θ = 21.43°, I = 30, (1 0 2)
d = 2.134 Å, 2θ = 42.34°, I = 22, (2 3 1)
d = 1.864 Å, 2θ = 48.86°, I = 21, (0 3 5)
d = 2.241 Å, 2θ = 40.25°, I = 21, (0 1 5)
d = 2.262 Å, 2θ = 39.86°, I = 19, (1 3 3)
d = 2.375 Å, 2θ = 37.88°, I = 17, (0 4 0)
d = 2.847 Å, 2θ = 31.42°, I = 16, (2 1 0)
d = 2.764 Å, 2θ = 32.39°, I = 14, (2 1 1)
d = 3.056 Å, 2θ = 29.22°, I = 14, (0 3 1)